Record 1
Theoretical X-ray powder pattern
Compound: AgB2
Radiation: CuKα
Structure: a DFT-relaxed cell (GGA-PBE, the Materials Project)
No peak broadening, texture or thermal motion is included.

Principal peaks in the range 2θ from 5° to 70°, low angle first:
2θ/deg	d (Å)	Rel. int.
21.87	4.064	52.6
34.21	2.621	63.2
40.97	2.203	100.0
44.59	2.032	14.5
57.38	1.606	27.3
61.25	1.513	15.8
65.85	1.418	15.5
69.37	1.355	2.2

Structural model:
```
data_AgB2
_chemical_formula_sum 'Ag1 B2'
_space_group_name_H-M_alt 'P 6/m m m'
_space_group_IT_number 191
_space_group_name_Hall '-P 6 2'
_cell_length_a 3.0268
_cell_length_b 3.0268
_cell_length_c 4.0639
_cell_angle_alpha 90.00
_cell_angle_beta 90.00
_cell_angle_gamma 120.00
loop_
_atom_site_label
_atom_site_type_symbol
_atom_site_fract_x
_atom_site_fract_y
_atom_site_fract_z
Ag1 Ag 0.0000 0.0000 0.0000
B1 B 0.3333 0.6667 0.5000
```

=====

Record 2
Theoretical X-ray powder pattern
Compound: NaLaZr2O6
Radiation: CuKα
Structure: a DFT-relaxed cell (GGA-PBE, the Materials Project)
No peak broadening, texture or thermal motion is included.

Principal peaks in the range 2θ from 5° to 70°, low angle first:
2θ/deg	d (Å)	Rel. int.
18.45	4.809	28.7
21.34	4.165	5.1
30.35	2.945	100.0
35.75	2.511	16.4
43.46	2.082	36.5
47.59	1.911	7.4
53.93	1.700	39.9
57.49	1.603	5.7
63.14	1.472	21.8
66.40	1.408	5.6

Structural model:
```
data_NaLaZr2O6
_chemical_formula_sum 'Na4 La4 Zr8 O24'
_space_group_name_H-M_alt 'F m -3 m'
_space_group_IT_number 225
_space_group_name_Hall '-F 4 2 3'
_cell_length_a 8.3293
_cell_length_b 8.3293
_cell_length_c 8.3293
_cell_angle_alpha 90.00
_cell_angle_beta 90.00
_cell_angle_gamma 90.00
loop_
_atom_site_label
_atom_site_type_symbol
_atom_site_fract_x
_atom_site_fract_y
_atom_site_fract_z
Na1 Na 0.0000 0.0000 0.0000
La1 La 0.0000 0.0000 0.5000
Zr1 Zr 0.2500 0.2500 0.2500
O1 O 0.0000 0.2500 0.2500
```

=====

Copy entry 2 word for word.
Theoretical X-ray powder pattern
Compound: NaLaZr2O6
Radiation: CuKα
Structure: a DFT-relaxed cell (GGA-PBE, the Materials Project)
No peak broadening, texture or thermal motion is included.

Principal peaks in the range 2θ from 5° to 70°, low angle first:
2θ/deg	d (Å)	Rel. int.
18.45	4.809	28.7
21.34	4.165	5.1
30.35	2.945	100.0
35.75	2.511	16.4
43.46	2.082	36.5
47.59	1.911	7.4
53.93	1.700	39.9
57.49	1.603	5.7
63.14	1.472	21.8
66.40	1.408	5.6

Structural model:
```
data_NaLaZr2O6
_chemical_formula_sum 'Na4 La4 Zr8 O24'
_space_group_name_H-M_alt 'F m -3 m'
_space_group_IT_number 225
_space_group_name_Hall '-F 4 2 3'
_cell_length_a 8.3293
_cell_length_b 8.3293
_cell_length_c 8.3293
_cell_angle_alpha 90.00
_cell_angle_beta 90.00
_cell_angle_gamma 90.00
loop_
_atom_site_label
_atom_site_type_symbol
_atom_site_fract_x
_atom_site_fract_y
_atom_site_fract_z
Na1 Na 0.0000 0.0000 0.0000
La1 La 0.0000 0.0000 0.5000
Zr1 Zr 0.2500 0.2500 0.2500
O1 O 0.0000 0.2500 0.2500
```